Diffraction record for LiCr2O4. The X-ray diffraction stick pattern is computed, not measured: it uses a structure optimized by DFT (GGA+U) and Cu Kα (weighted mean of Kα1 and Kα2).

a b c (Å): 2.940 5.136 5.252
angles (deg): 110.16 90.04 90.59
Space group P-1 (No. 2)
Inequivalent atoms, fractional coordinates:
Li 0.000 0.000 0.000 x1
Cr 0.000 0.500 0.500 x1
Cr 0.500 0.000 0.500 x1
O 0.007 0.773 0.297 x2
O 0.496 0.245 0.288 x2

Largest 8 diffraction maxima, by intensity, 10 to 90 degrees two-theta:
index, 2theta, I (rel.)
0 0 1, 17.99, 100.0
0 2 -2, 42.46, 19.5
-1 1 1, 43.06, 19.2
1 1 1, 43.50, 18.4
1 -1 0, 35.59, 11.3
1 1 0, 35.96, 10.7
0 2 -1, 35.37, 10.0
1 -3 1, 62.50, 9.8